Structure and simulated PXRD pattern of FeBi2Se2Cl3O7 (DFT lattice parameters and positions (PBE+U); Cu Ka).
No peak broadening, texture or thermal motion is included.

Principal peaks in the range 2θ = 10–80°, in order of falling intensity:
d = 5.465 Å, 2θ = 16.2°, I = 100
d = 2.751 Å, 2θ = 32.5°, I = 93
d = 4.252 Å, 2θ = 20.9°, I = 86
d = 3.612 Å, 2θ = 24.6°, I = 76
d = 2.731 Å, 2θ = 32.8°, I = 52
d = 2.640 Å, 2θ = 34.0°, I = 45
d = 4.182 Å, 2θ = 21.2°, I = 39
d = 3.502 Å, 2θ = 25.4°, I = 36
d = 2.514 Å, 2θ = 35.7°, I = 33
d = 3.097 Å, 2θ = 28.8°, I = 33

Structure:
a = 8.6999 Å, b = 7.2201 Å, c = 8.8460 Å
α = 90.00°, β = 105.99°, γ = 90.00°
Space group P2_1/m (No. 11)
Inequivalent atoms, fractional coordinates:
Fe1 0.0000 0.0000 0.0000
Bi1 0.2235 0.2500 0.7699
Bi2 0.3010 0.2500 0.2475
Se1 0.1032 0.7500 0.7138
Se2 0.2318 0.7500 0.3179
Cl1 0.3811 0.0123 0.6222
Cl2 0.4723 0.2500 0.0216
O1 0.0591 0.7500 0.3704
O2 0.1000 0.2500 0.3690
O3 0.1058 0.2500 0.0182
O4 0.1285 0.5612 0.8447
O5 0.2014 0.5623 0.1816